No. 1
For LiFeP2H5O9, a cell relaxed with GGA+U gives the calculated X-ray diffraction stick pattern in this record (Cu Kα (weighted mean of Kα1 and Kα2)).
No peak broadening, texture or thermal motion is included.

Cell and atoms:
```
data_LiFeP2H5O9
_cell_length_a 7.559
_cell_length_b 7.633
_cell_length_c 8.012
_cell_angle_alpha 82.36
_cell_angle_beta 65.10
_cell_angle_gamma 68.75
_symmetry_space_group_name_H-M 'P -1'
_symmetry_Int_Tables_number 2
loop_
_symmetry_equiv_pos_as_xyz
'x,y,z'
'-x,-y,-z'
loop_
_atom_site_label
_atom_site_type_symbol
_atom_site_fract_x
_atom_site_fract_y
_atom_site_fract_z
Li1 Li 0.217 0.334 0.259
Fe1 Fe 0.227 0.760 0.536
P1 P 0.041 0.867 0.242
P2 P 0.314 0.418 0.775
H1 H 0.081 0.294 0.955
H2 H 0.292 0.639 0.932
H3 H 0.308 0.952 0.045
H4 H 0.363 0.921 0.771
H5 H 0.497 0.973 0.229
O1 O 0.063 0.735 0.402
O2 O 0.081 0.759 0.074
O3 O 0.162 0.541 0.692
O4 O 0.172 0.975 0.690
O5 O 0.195 0.334 0.963
O6 O 0.212 0.968 0.181
O7 O 0.411 0.542 0.832
O8 O 0.471 0.910 0.817
O9 O 0.491 0.258 0.650
```

Peak list (10 most intense, 10 to 90 degrees two-theta, by angle)
- 2θ 14.22, I = 24, hkl 1 0 1
- 2θ 15.08, I = 100, hkl 1 1 0
- 2θ 15.75, I = 86, hkl 1 1 1
- 2θ 26.18, I = 24, hkl 2 1 0
- 2θ 27.48, I = 26, hkl 2 1 2
- 2θ 27.62, I = 75, hkl -1 1 1
- 2θ 27.96, I = 61, hkl 1 -1 2
- 2θ 28.67, I = 30, hkl 2 0 2
- 2θ 32.64, I = 23, hkl 1 -2 0
- 2θ 34.89, I = 25, hkl 0 2 -2

No. 2
For Li3Cr2P3O12, a cell relaxed with GGA+U gives the calculated X-ray diffraction stick pattern in this record (Cu Kα (weighted mean of Kα1 and Kα2)).
No peak broadening, texture or thermal motion is included.

Cell and atoms:
```
data_Li3Cr2P3O12
_cell_length_a 14.357
_cell_length_b 8.754
_cell_length_c 8.567
_cell_angle_alpha 90.00
_cell_angle_beta 123.99
_cell_angle_gamma 90.00
_symmetry_space_group_name_H-M 'C 1 2/c 1'
_symmetry_Int_Tables_number 15
loop_
_symmetry_equiv_pos_as_xyz
'x,y,z'
'-x,-y,-z'
'-x,y,-z+1/2'
'x,-y,z+1/2'
'x+1/2,y+1/2,z'
'-x+1/2,-y+1/2,-z'
'-x+1/2,y+1/2,-z+1/2'
'x+1/2,-y+1/2,z+1/2'
loop_
_atom_site_label
_atom_site_type_symbol
_atom_site_fract_x
_atom_site_fract_y
_atom_site_fract_z
Li1 Li 0.197 0.040 0.141
Li2 Li 0.250 0.250 0.500
Cr1 Cr 0.112 0.254 0.649
P1 P 0.000 0.043 0.250
P2 P 0.149 0.404 0.032
O1 O 0.032 0.351 0.965
O2 O 0.072 0.054 0.705
O3 O 0.088 0.141 0.422
O4 O 0.171 0.421 0.571
O5 O 0.180 0.368 0.890
O6 O 0.231 0.326 0.229
```

Peak list (10 most intense, 10 to 90 degrees two-theta, by angle)
- 2θ 14.47, I = 52, hkl 1 1 -1
- 2θ 20.47, I = 64, hkl 1 1 1
- 2θ 20.76, I = 39, hkl 2 0 -2
- 2θ 21.16, I = 100, hkl 3 1 -1
- 2θ 24.03, I = 85, hkl 1 1 -2
- 2θ 24.18, I = 91, hkl 2 2 -1
- 2θ 24.63, I = 87, hkl 3 1 0
- 2θ 29.19, I = 62, hkl 2 2 -2
- 2θ 33.02, I = 35, hkl 3 1 -3
- 2θ 35.63, I = 43, hkl 1 3 1

No. 3
For Li2CoP5O15, a cell relaxed with GGA+U gives the calculated X-ray diffraction stick pattern in this record (Cu Kα (weighted mean of Kα1 and Kα2)).
No peak broadening, texture or thermal motion is included.

Cell and atoms:
```
data_Li2CoP5O15
_cell_length_a 5.143
_cell_length_b 13.293
_cell_length_c 8.888
_cell_angle_alpha 90.00
_cell_angle_beta 101.87
_cell_angle_gamma 90.00
_symmetry_space_group_name_H-M 'P 1 21/m 1'
_symmetry_Int_Tables_number 11
loop_
_symmetry_equiv_pos_as_xyz
'x,y,z'
'-x,-y,-z'
'-x,y+1/2,-z'
'x,-y+1/2,z'
loop_
_atom_site_label
_atom_site_type_symbol
_atom_site_fract_x
_atom_site_fract_y
_atom_site_fract_z
Li1 Li 0.058 0.116 0.091
Co1 Co 0.500 0.000 0.500
P1 P 0.000 0.139 0.518
P2 P 0.342 0.075 0.815
P3 P 0.455 0.750 0.986
O1 O 0.047 0.250 0.461
O2 O 0.140 0.145 0.695
O3 O 0.146 0.071 0.427
O4 O 0.189 0.030 0.924
O5 O 0.192 0.750 0.878
O6 O 0.286 0.250 0.066
O7 O 0.295 0.625 0.495
O8 O 0.445 0.656 0.104
O9 O 0.488 0.006 0.725
```

Peak list (10 most intense, 10 to 90 degrees two-theta, by angle)
- 2θ 10.17, I = 79, hkl 0 0 1
- 2θ 12.16, I = 44, hkl 0 1 1
- 2θ 13.32, I = 44, hkl 0 2 0
- 2θ 16.79, I = 68, hkl 0 2 1
- 2θ 18.46, I = 100, hkl 1 0 -1
- 2θ 20.42, I = 93, hkl 0 0 2
- 2θ 22.52, I = 49, hkl 0 3 1
- 2θ 22.84, I = 47, hkl 1 2 -1
- 2θ 25.94, I = 86, hkl 1 2 1
- 2θ 32.28, I = 44, hkl 1 4 0

No. 4
For Li3VPCO7, a cell relaxed with GGA+U gives the calculated X-ray diffraction stick pattern in this record (Cu Kα (weighted mean of Kα1 and Kα2)).
No peak broadening, texture or thermal motion is included.

Cell and atoms:
```
data_Li3VPCO7
_cell_length_a 6.616
_cell_length_b 8.509
_cell_length_c 9.978
_cell_angle_alpha 85.10
_cell_angle_beta 89.43
_cell_angle_gamma 89.07
_symmetry_space_group_name_H-M 'P 1'
_symmetry_Int_Tables_number 1
loop_
_symmetry_equiv_pos_as_xyz
'x,y,z'
loop_
_atom_site_label
_atom_site_type_symbol
_atom_site_fract_x
_atom_site_fract_y
_atom_site_fract_z
Li1 Li 0.000 0.000 0.000
Li2 Li 0.002 0.001 0.508
Li3 Li 0.222 0.819 0.752
Li4 Li 0.230 0.818 0.282
Li5 Li 0.273 0.383 0.013
Li6 Li 0.278 0.383 0.518
Li7 Li 0.484 0.752 0.514
Li8 Li 0.490 0.192 0.768
Li9 Li 0.492 0.208 0.283
Li10 Li 0.710 0.380 0.517
Li11 Li 0.714 0.382 0.013
Li12 Li 0.761 0.821 0.751
V1 V 0.491 0.770 0.990
V2 V 0.735 0.840 0.278
V3 V 0.994 0.428 0.787
V4 V 0.994 0.430 0.287
P1 P 0.493 0.508 0.751
P2 P 0.494 0.513 0.250
P3 P 0.988 0.692 0.030
P4 P 0.998 0.688 0.531
C1 C 0.498 0.065 0.043
C2 C 0.503 0.057 0.535
C3 C 0.993 0.135 0.738
C4 C 0.995 0.137 0.238
O1 O 0.000 0.249 0.142
O2 O 0.001 0.521 0.479
O3 O 0.173 0.792 0.983
O4 O 0.180 0.791 0.482
O5 O 0.312 0.406 0.807
O6 O 0.312 0.411 0.302
O7 O 0.488 0.678 0.305
O8 O 0.489 0.029 0.920
O9 O 0.489 0.676 0.800
O10 O 0.494 0.205 0.562
O11 O 0.494 0.524 0.595
O12 O 0.495 0.532 0.093
O13 O 0.496 0.947 0.632
O14 O 0.497 0.208 0.076
O15 O 0.504 0.946 0.137
O16 O 0.516 0.024 0.409
O17 O 0.677 0.406 0.807
O18 O 0.677 0.410 0.302
O19 O 0.807 0.785 0.483
O20 O 0.808 0.795 0.973
O21 O 0.973 0.674 0.189
O22 O 0.989 0.990 0.209
O23 O 0.993 0.248 0.642
O24 O 0.993 0.667 0.689
O25 O 0.993 0.989 0.710
O26 O 0.994 0.524 0.982
O27 O 0.995 0.173 0.861
O28 O 0.997 0.173 0.361
```

Peak list (10 most intense, 10 to 90 degrees two-theta, by angle)
- 2θ 10.44, I = 75, hkl 0 1 0
- 2θ 19.92, I = 20, hkl 0 1 2
- 2θ 21.48, I = 30, hkl 0 1 -2
- 2θ 25.40, I = 47, hkl 1 -1 2
- 2θ 26.45, I = 31, hkl 0 2 2
- 2θ 26.95, I = 100, hkl 2 0 0
- 2θ 34.68, I = 21, hkl 2 -2 0
- 2θ 36.14, I = 22, hkl 0 0 4
- 2θ 36.81, I = 27, hkl 0 1 4
- 2θ 55.57, I = 21, hkl 4 0 0

No. 5
For Sr2CoSbO6, a cell relaxed with GGA+U gives the calculated X-ray diffraction stick pattern in this record (Cu Kα (weighted mean of Kα1 and Kα2)).
No peak broadening, texture or thermal motion is included.

Cell and atoms:
```
data_Sr2CoSbO6
_cell_length_a 5.220
_cell_length_b 5.605
_cell_length_c 10.969
_cell_angle_alpha 90.00
_cell_angle_beta 90.00
_cell_angle_gamma 90.00
_symmetry_space_group_name_H-M 'I m m m'
_symmetry_Int_Tables_number 71
_symmetry_space_group_name_Hall '-I 2 2'
loop_
_atom_site_label
_atom_site_type_symbol
_atom_site_fract_x
_atom_site_fract_y
_atom_site_fract_z
Sr1 Sr 0.000 0.000 0.168
Co1 Co 0.000 0.500 0.500
Sb1 Sb 0.000 0.000 0.500
O1 O 0.000 0.500 0.318
O2 O 0.249 0.257 0.500
```

Peak list (10 most intense, 10 to 90 degrees two-theta, by angle)
- 2θ 16.16, I = 42, hkl 0 0 2
- 2θ 18.83, I = 37, hkl 1 0 1
- 2θ 23.29, I = 69, hkl 1 1 0
- 2θ 29.16, I = 70, hkl 0 1 3
- 2θ 29.84, I = 100, hkl 1 0 3
- 2θ 31.93, I = 42, hkl 0 2 0
- 2θ 34.36, I = 34, hkl 2 0 0
- 2θ 44.27, I = 69, hkl 1 2 3
- 2θ 45.67, I = 41, hkl 2 1 3
- 2θ 47.61, I = 51, hkl 2 2 0

No. 6
For Li2MnP2O7, a cell relaxed with GGA+U gives the calculated X-ray diffraction stick pattern in this record (Cu Kα (weighted mean of Kα1 and Kα2)).
No peak broadening, texture or thermal motion is included.

Cell and atoms:
```
data_Li2MnP2O7
_cell_length_a 15.609
_cell_length_b 5.030
_cell_length_c 9.021
_cell_angle_alpha 90.00
_cell_angle_beta 114.80
_cell_angle_gamma 90.00
_symmetry_space_group_name_H-M 'C 1 2/c 1'
_symmetry_Int_Tables_number 15
loop_
_symmetry_equiv_pos_as_xyz
'x,y,z'
'-x,-y,-z'
'-x,y,-z+1/2'
'x,-y,z+1/2'
'x+1/2,y+1/2,z'
'-x+1/2,-y+1/2,-z'
'-x+1/2,y+1/2,-z+1/2'
'x+1/2,-y+1/2,z+1/2'
loop_
_atom_site_label
_atom_site_type_symbol
_atom_site_fract_x
_atom_site_fract_y
_atom_site_fract_z
Li1 Li 0.191 0.141 0.053
Mn1 Mn 0.000 0.000 0.000
P1 P 0.104 0.369 0.315
O1 O 0.000 0.479 0.750
O2 O 0.104 0.158 0.438
O3 O 0.108 0.237 0.163
O4 O 0.176 0.414 0.887
```

Peak list (10 most intense, 10 to 90 degrees two-theta, by angle)
- 2θ 12.49, I = 86, hkl 2 0 0
- 2θ 20.29, I = 30, hkl 1 1 -1
- 2θ 22.96, I = 26, hkl 1 1 1
- 2θ 25.43, I = 13, hkl 4 0 -2
- 2θ 25.88, I = 24, hkl 3 1 0
- 2θ 26.70, I = 100, hkl 1 1 -2
- 2θ 28.31, I = 18, hkl 3 1 -2
- 2θ 30.80, I = 13, hkl 1 1 2
- 2θ 33.88, I = 14, hkl 5 1 -1
- 2θ 44.17, I = 13, hkl 4 2 0

No. 7
For LiNiP4O12, a cell relaxed with GGA+U gives the calculated X-ray diffraction stick pattern in this record (Cu Kα (weighted mean of Kα1 and Kα2)).
No peak broadening, texture or thermal motion is included.

Cell and atoms:
```
data_LiNiP4O12
_cell_length_a 7.262
_cell_length_b 8.766
_cell_length_c 7.634
_cell_angle_alpha 90.00
_cell_angle_beta 92.16
_cell_angle_gamma 90.00
_symmetry_space_group_name_H-M 'P 1 21 1'
_symmetry_Int_Tables_number 4
loop_
_symmetry_equiv_pos_as_xyz
'x,y,z'
'-x,y+1/2,-z'
loop_
_atom_site_label
_atom_site_type_symbol
_atom_site_fract_x
_atom_site_fract_y
_atom_site_fract_z
Li1 Li 0.218 0.000 0.149
Ni1 Ni 0.226 0.232 0.667
P1 P 0.122 0.591 0.569
P2 P 0.151 0.634 0.195
P3 P 0.422 0.416 0.029
P4 P 0.432 0.820 0.619
O1 O 0.049 0.187 0.452
O2 O 0.056 0.127 0.841
O3 O 0.105 0.445 0.671
O4 O 0.204 0.551 0.380
O5 O 0.238 0.788 0.188
O6 O 0.240 0.516 0.064
O7 O 0.288 0.685 0.666
O8 O 0.330 0.968 0.599
O9 O 0.371 0.311 0.881
O10 O 0.414 0.017 0.990
O11 O 0.437 0.313 0.204
O12 O 0.448 0.266 0.525
```

Peak list (10 most intense, 10 to 90 degrees two-theta, by angle)
- 2θ 11.60, I = 38, hkl 0 0 1
- 2θ 15.40, I = 87, hkl 0 1 1
- 2θ 15.85, I = 54, hkl 1 1 0
- 2θ 16.54, I = 58, hkl 1 0 -1
- 2θ 19.41, I = 34, hkl 1 1 -1
- 2θ 23.41, I = 41, hkl 0 2 1
- 2θ 23.72, I = 100, hkl 1 2 0
- 2θ 26.65, I = 58, hkl 1 2 1
- 2θ 26.81, I = 79, hkl 1 0 2
- 2θ 28.71, I = 82, hkl 2 1 -1

No. 8
For Co3P2O10, a cell relaxed with GGA+U gives the calculated X-ray diffraction stick pattern in this record (Cu Kα (weighted mean of Kα1 and Kα2)).
No peak broadening, texture or thermal motion is included.

Cell and atoms:
```
data_Co3P2O10
_cell_length_a 7.154
_cell_length_b 7.561
_cell_length_c 7.297
_cell_angle_alpha 90.00
_cell_angle_beta 118.50
_cell_angle_gamma 90.00
_symmetry_space_group_name_H-M 'P 1 21/c 1'
_symmetry_Int_Tables_number 14
loop_
_symmetry_equiv_pos_as_xyz
'x,y,z'
'-x,-y,-z'
'-x,y+1/2,-z+1/2'
'x,-y+1/2,z+1/2'
loop_
_atom_site_label
_atom_site_type_symbol
_atom_site_fract_x
_atom_site_fract_y
_atom_site_fract_z
Co1 Co 0.000 0.000 0.000
Co2 Co 0.261 0.218 0.471
P1 P 0.255 0.614 0.254
O1 O 0.063 0.734 0.122
O2 O 0.184 0.016 0.879
O3 O 0.209 0.135 0.212
O4 O 0.316 0.000 0.618
O5 O 0.442 0.726 0.406
```

Peak list (10 most intense, 10 to 90 degrees two-theta, by angle)
- 2θ 14.09, I = 26, hkl 1 0 0
- 2θ 18.35, I = 51, hkl 1 1 0
- 2θ 26.86, I = 65, hkl 1 1 1
- 2θ 27.15, I = 100, hkl 1 1 -2
- 2θ 27.39, I = 35, hkl 0 2 1
- 2θ 27.58, I = 43, hkl 2 1 -1
- 2θ 28.39, I = 29, hkl 2 0 0
- 2θ 38.50, I = 26, hkl 3 0 -2
- 2θ 55.37, I = 22, hkl 2 2 2
- 2θ 56.50, I = 26, hkl 0 4 2